# Ba6CaNb2IrCl2O12
Simulated PXRD pattern, CuKα. Input: a structure optimized by DFT (PBE).

Principal peaks in the range 15° ≤ 2θ ≤ 90°, by intensity:
| Position (°2θ) | d (Å) | intensity |
| --- | --- | --- |
| 29.5 | 3.033 | 100 |
| 28.7 | 3.105 | 65 |
| 41.6 | 2.170 | 31 |
| 51.8 | 1.765 | 24 |
| 24.2 | 3.672 | 22 |
| 17.8 | 4.972 | 20 |
| 52.2 | 1.751 | 20 |
| 38.5 | 2.338 | 18 |
| 61.1 | 1.516 | 17 |
| 20.5 | 4.339 | 13 |

Structural model:
```
Ba6CaNb2IrCl2O12
1.0
6.066 0.000 0.000
-3.033 5.253 0.000
0.000 0.000 15.401
Ba Ca Nb Ir Cl O
6 1 2 1 2 12
direct
0.333 0.667 0.066
0.333 0.667 0.348
0.333 0.667 0.798
0.667 0.333 0.202
0.667 0.333 0.652
0.667 0.333 0.934
0.000 0.000 0.500
0.000 0.000 0.179
0.000 0.000 0.821
0.000 0.000 0.000
0.333 0.667 0.568
0.667 0.333 0.432
0.155 0.310 0.918
0.155 0.845 0.918
0.161 0.321 0.238
0.161 0.839 0.238
0.310 0.155 0.082
0.321 0.161 0.762
0.679 0.839 0.238
0.690 0.845 0.918
0.839 0.161 0.762
0.839 0.679 0.762
0.845 0.155 0.082
0.845 0.690 0.082
```


# Ba6CaNb2IrCl2O12
Simulated PXRD pattern, CuKα. Input: a structure optimized by DFT (PBE).

Principal peaks in the range 15° ≤ 2θ ≤ 90°, by intensity:
| Position (°2θ) | d (Å) | intensity |
| --- | --- | --- |
| 29.3 | 3.047 | 100 |
| 29.4 | 3.037 | 56 |
| 27.0 | 3.301 | 27 |
| 25.3 | 3.522 | 26 |
| 52.1 | 1.755 | 24 |
| 29.8 | 2.998 | 23 |
| 31.8 | 2.817 | 23 |
| 60.8 | 1.524 | 22 |
| 39.4 | 2.287 | 21 |
| 25.6 | 3.477 | 18 |

Structural model:
```
Ba6CaNb2IrCl2O12
1.0
5.285 -3.037 0.000
5.285 3.037 0.000
-3.214 0.000 15.656
Ba Ca Nb Ir Cl O
6 1 2 1 2 12
direct
0.000 0.000 0.000
0.082 0.082 0.275
0.294 0.294 0.872
0.371 0.371 0.126
0.525 0.525 0.533
0.915 0.915 0.722
0.219 0.219 0.614
0.594 0.594 0.754
0.698 0.698 0.104
0.641 0.641 0.921
0.032 0.032 0.469
0.434 0.434 0.328
0.305 0.769 0.838
0.388 0.875 0.157
0.417 0.881 0.681
0.421 0.421 0.675
0.515 0.515 0.005
0.516 0.971 0.005
0.769 0.305 0.838
0.773 0.773 0.839
0.875 0.388 0.157
0.875 0.875 0.158
0.881 0.417 0.681
0.971 0.516 0.005
```


# BaCa2MgCl8
Simulated PXRD pattern, CuKα. Input: a structure optimized by DFT (PBE).

Principal peaks in the range 15° ≤ 2θ ≤ 90°, by intensity:
| Position (°2θ) | d (Å) | intensity |
| --- | --- | --- |
| 19.2 | 4.630 | 100 |
| 28.8 | 3.103 | 90 |
| 19.7 | 4.517 | 88 |
| 37.1 | 2.423 | 66 |
| 46.8 | 1.939 | 63 |
| 37.5 | 2.401 | 56 |
| 38.0 | 2.369 | 52 |
| 25.1 | 3.553 | 43 |
| 30.4 | 2.939 | 35 |
| 47.6 | 1.909 | 33 |

Structural model:
```
BaCa2MgCl8
1.0
6.406 0.000 0.000
0.000 8.541 0.000
-0.162 0.000 6.531
Ba Ca Mg Cl
1 2 1 8
direct
0.000 0.000 0.000
0.500 0.267 0.500
0.500 0.733 0.500
0.000 0.500 0.000
0.216 0.291 0.175
0.216 0.709 0.175
0.273 0.500 0.691
0.295 0.000 0.645
0.705 0.000 0.355
0.727 0.500 0.309
0.784 0.291 0.825
0.784 0.709 0.825
```


Repeat the third record exactly.
# BaCa2MgCl8
Simulated PXRD pattern, CuKα. Input: a structure optimized by DFT (PBE).

Principal peaks in the range 15° ≤ 2θ ≤ 90°, by intensity:
| Position (°2θ) | d (Å) | intensity |
| --- | --- | --- |
| 19.2 | 4.630 | 100 |
| 28.8 | 3.103 | 90 |
| 19.7 | 4.517 | 88 |
| 37.1 | 2.423 | 66 |
| 46.8 | 1.939 | 63 |
| 37.5 | 2.401 | 56 |
| 38.0 | 2.369 | 52 |
| 25.1 | 3.553 | 43 |
| 30.4 | 2.939 | 35 |
| 47.6 | 1.909 | 33 |

Structural model:
```
BaCa2MgCl8
1.0
6.406 0.000 0.000
0.000 8.541 0.000
-0.162 0.000 6.531
Ba Ca Mg Cl
1 2 1 8
direct
0.000 0.000 0.000
0.500 0.267 0.500
0.500 0.733 0.500
0.000 0.500 0.000
0.216 0.291 0.175
0.216 0.709 0.175
0.273 0.500 0.691
0.295 0.000 0.645
0.705 0.000 0.355
0.727 0.500 0.309
0.784 0.291 0.825
0.784 0.709 0.825
```